No. 1
# Si2H3O6
Computed X-ray diffraction stick pattern, Cu Kα (λ = 1.5418 Å). Input: a GGA-PBE-relaxed structure.
Intensities are scaled so that the largest is 100.

Main lines, by angle (2θ = 10–90°):
20.16 deg, intensity 100; 22.09 deg, intensity 33; 22.59 deg, intensity 54; 25.17 deg, intensity 34; 39.10 deg, intensity 38; 56.90 deg, intensity 24

a = 4.8155 Å, b = 4.8155 Å, c = 9.1539 Å
α = 103.69°, β = 103.69°, γ = 59.42°
Positions (direct):
Si  0.1678  0.6704  0.9990
Si  0.3296  0.8322  0.5010
Si  0.6704  0.1678  0.4990
Si  0.8322  0.3296  0.0010
H  0.0770  0.2698  0.7756
H  0.2698  0.0770  0.2756
H  0.4302  0.5698  0.7500
H  0.5698  0.4302  0.2500
H  0.7302  0.9230  0.7244
H  0.9230  0.7302  0.2244
O  0.0324  0.1535  0.6130
O  0.0875  0.3448  0.8922
O  0.1535  0.0324  0.1130
O  0.3448  0.0875  0.3922
O  0.4151  0.5376  0.6131
O  0.4624  0.5849  0.8869
O  0.5376  0.4151  0.1131
O  0.5849  0.4624  0.3869
O  0.6552  0.9125  0.6078
O  0.8465  0.9676  0.8870
O  0.9125  0.6552  0.1078
O  0.9676  0.8465  0.3870

No. 2
# Si2H2O5
Computed X-ray diffraction stick pattern, Cu Kα (λ = 1.5418 Å). Input: a GGA-PBE-relaxed structure.
Intensities are scaled so that the largest is 100.

Main lines, by angle (2θ = 10–90°):
11.81 deg, intensity 53; 22.03 deg, intensity 57; 22.20 deg, intensity 100; 23.18 deg, intensity 40; 23.75 deg, intensity 44; 24.11 deg, intensity 72

a = 4.8299 Å, b = 6.4035 Å, c = 8.2023 Å
α = 108.83°, β = 102.72°, γ = 94.69°
Positions (direct):
Si  0.0000  0.0000  0.0000
Si  0.1206  0.3902  0.3738
Si  0.4678  0.6945  0.9836
Si  0.6557  0.6887  0.3911
H  0.1888  0.2468  0.8671
H  0.3182  0.3602  0.6497
H  0.8595  0.9963  0.6486
H  0.9133  0.7214  0.1876
O  0.0663  0.0927  0.8495
O  0.2381  0.8485  0.0605
O  0.2983  0.2992  0.5169
O  0.3185  0.5782  0.3270
O  0.3433  0.4452  0.8612
O  0.6891  0.8307  0.9147
O  0.7084  0.7013  0.1880
O  0.7264  0.9398  0.5249
O  0.8628  0.5194  0.4377
O  0.9806  0.1903  0.1824

No. 3
# Zn4Si2H2O9
Computed X-ray diffraction stick pattern, Cu Kα (λ = 1.5418 Å). Input: a GGA-PBE-relaxed structure.
Intensities are scaled so that the largest is 100.

Main lines, by angle (2θ = 10–90°):
13.43 deg, intensity 93; 16.10 deg, intensity 55; 18.96 deg, intensity 64; 26.59 deg, intensity 55; 28.88 deg, intensity 100; 37.17 deg, intensity 55

a = 7.3402 Å, b = 7.3402 Å, c = 5.1718 Å
α = 110.50°, β = 110.50°, γ = 97.22°
Positions (direct):
Zn  0.1570  0.8430  0.0000
Zn  0.4192  0.7350  0.5762
Zn  0.7350  0.4192  0.5762
Zn  0.8430  0.1570  0.0000
Si  0.6439  0.9301  0.2951
Si  0.9301  0.6439  0.2951
H  0.2235  0.2235  0.2440
H  0.4390  0.4390  0.6929
O  0.1048  0.1048  0.1463
O  0.1536  0.7401  0.5853
O  0.4197  0.8157  0.2497
O  0.4637  0.4637  0.5329
O  0.6279  0.9473  0.9810
O  0.7401  0.1536  0.5853
O  0.7910  0.7910  0.3891
O  0.8157  0.4197  0.2497
O  0.9473  0.6279  0.9810

No. 4
# Zn2SiHO5
Computed X-ray diffraction stick pattern, Cu Kα (λ = 1.5418 Å). Input: a GGA-PBE-relaxed structure.
Intensities are scaled so that the largest is 100.

Main lines, by angle (2θ = 10–90°):
13.14 deg, intensity 72; 16.45 deg, intensity 59; 26.87 deg, intensity 65; 28.10 deg, intensity 100; 34.45 deg, intensity 48; 36.84 deg, intensity 53

a = 7.3803 Å, b = 7.3803 Å, c = 7.3803 Å
α = 108.40°, β = 86.18°, γ = 138.69°
Positions (direct):
Zn  0.1653  0.1998  0.3651
Zn  0.1653  0.8002  0.9654
Zn  0.8347  0.1998  0.0346
Zn  0.8347  0.8002  0.6349
Si  0.3574  0.5057  0.8517
Si  0.6540  0.5057  0.1483
H  0.1581  0.5407  0.3827
H  0.1581  0.7754  0.6173
O  0.0210  0.1959  0.8251
O  0.0565  0.3418  0.2853
O  0.0565  0.7712  0.7147
O  0.3708  0.1959  0.1749
O  0.4134  0.9134  0.5000
O  0.4305  0.4817  0.6358
O  0.4305  0.7947  0.9488
O  0.5787  0.5787  0.0000
O  0.8459  0.4817  0.0512
O  0.8459  0.7947  0.3642

No. 5
# Sm2H3O
Computed X-ray diffraction stick pattern, Cu Kα (λ = 1.5418 Å). Input: a GGA-PBE-relaxed structure.
Intensities are scaled so that the largest is 100.

Main lines, by angle (2θ = 10–90°):
28.40 deg, intensity 100; 32.91 deg, intensity 44; 47.24 deg, intensity 42; 56.04 deg, intensity 45; 76.26 deg, intensity 18; 78.61 deg, intensity 15

a = 5.4426 Å, b = 5.4426 Å, c = 5.4426 Å
α = 90.00°, β = 90.00°, γ = 90.00°
Positions (direct):
Sm  0.0000  0.0000  0.0000
Sm  0.0000  0.5000  0.5000
Sm  0.5000  0.0000  0.5000
Sm  0.5000  0.5000  0.0000
H  0.2500  0.2500  0.7500
H  0.2500  0.7500  0.2500
H  0.2500  0.7500  0.7500
H  0.7500  0.2500  0.2500
H  0.7500  0.2500  0.7500
H  0.7500  0.7500  0.2500
O  0.2500  0.2500  0.2500
O  0.7500  0.7500  0.7500

No. 6
# Sn3H2O4
Computed X-ray diffraction stick pattern, Cu Kα (λ = 1.5418 Å). Input: a GGA-PBE-relaxed structure.
Intensities are scaled so that the largest is 100.

Main lines, by angle (2θ = 10–90°):
24.54 deg, intensity 56; 24.77 deg, intensity 87; 26.40 deg, intensity 71; 29.32 deg, intensity 80; 31.37 deg, intensity 100; 34.98 deg, intensity 49

a = 8.1122 Å, b = 8.1122 Å, c = 9.2252 Å
α = 90.00°, β = 90.00°, γ = 90.00°
Positions (direct):
Sn  0.0000  0.0000  0.2239
Sn  0.0000  0.0000  0.7761
Sn  0.1148  0.2929  0.5058
Sn  0.2071  0.3852  0.0058
Sn  0.2929  0.8852  0.4942
Sn  0.3852  0.7929  0.9942
Sn  0.5000  0.5000  0.2761
Sn  0.5000  0.5000  0.7239
Sn  0.6148  0.2071  0.9942
Sn  0.7071  0.1148  0.4942
Sn  0.7929  0.6148  0.0058
Sn  0.8852  0.7071  0.5058
H  0.1691  0.6840  0.2616
H  0.1840  0.6691  0.7617
H  0.3160  0.1691  0.7383
H  0.3309  0.1840  0.2384
H  0.6691  0.8160  0.2384
H  0.6840  0.8309  0.7383
H  0.8160  0.3309  0.7617
H  0.8309  0.3160  0.2616
O  0.0845  0.8177  0.6230
O  0.1154  0.7596  0.3316
O  0.1823  0.0845  0.3770
O  0.2404  0.1154  0.6684
O  0.2596  0.6154  0.8316
O  0.3177  0.5845  0.1230
O  0.3846  0.2596  0.1684
O  0.4155  0.3177  0.8770
O  0.5845  0.6823  0.8770
O  0.6154  0.7404  0.1684
O  0.6823  0.4155  0.1230
O  0.7404  0.3846  0.8316
O  0.7596  0.8846  0.6684
O  0.8177  0.9155  0.3770
O  0.8846  0.2404  0.3316
O  0.9155  0.1823  0.6230

No. 7
# Sn2HO3
Computed X-ray diffraction stick pattern, Cu Kα (λ = 1.5418 Å). Input: a GGA-PBE-relaxed structure.
Intensities are scaled so that the largest is 100.

Main lines, by angle (2θ = 10–90°):
14.71 deg, intensity 37; 22.67 deg, intensity 100; 25.83 deg, intensity 25; 28.96 deg, intensity 35; 30.66 deg, intensity 73; 34.71 deg, intensity 27

a = 7.0655 Å, b = 7.0655 Å, c = 5.1685 Å
α = 90.00°, β = 90.00°, γ = 58.45°
Positions (direct):
Sn  0.0488  0.6706  0.5000
Sn  0.3294  0.9512  0.5000
Sn  0.6706  0.0488  0.0000
Sn  0.9512  0.3294  0.0000
H  0.0992  0.9008  0.1173
H  0.9008  0.0992  0.6173
O  0.0069  0.1908  0.6267
O  0.1908  0.0069  0.1267
O  0.3252  0.6748  0.5699
O  0.6748  0.3252  0.0699
O  0.8092  0.9931  0.6267
O  0.9931  0.8092  0.1267